Record 1
Li4Bi2Cl9: calculated powder X-ray diffraction pattern (Cu Ka), based on a crystal structure in Alexandria, relaxed with GGA-PBE.
Neutral-atom scattering factors, no anomalous dispersion.

Top 8 peaks for 5° ≤ 2θ ≤ 70°, most intense first:
- 2θ = 15.0°, I = 100.0
- 2θ = 25.3°, I = 41.6
- 2θ = 40.7°, I = 37.3
- 2θ = 34.3°, I = 30.7
- 2θ = 30.2°, I = 30.6
- 2θ = 18.1°, I = 22.9
- 2θ = 46.0°, I = 22.7
- 2θ = 40.3°, I = 22.6

Cell and atoms:
a = 6.8378 Å, b = 6.8378 Å, c = 17.4674 Å
α = 90.00°, β = 90.00°, γ = 120.00°
Space group P-3 (No. 147)
Asymmetric unit:
Li: 0.3333 0.6667 0.1771 x2
Li: 0.3333 0.6667 0.4826 x2
Li: 0.3333 0.6667 0.6768 x2
Li: 0.3333 0.6667 0.9827 x2
Bi: 0.0000 0.0000 0.1539 x2
Bi: 0.0000 0.0000 0.3457 x2
Cl: 0.9997 0.3532 0.2500 x6
Cl: 0.0221 0.6506 0.0836 x6
Cl: 0.0234 0.3718 0.5835 x6



Record 2
PmV2B6: calculated powder X-ray diffraction pattern (Cu Ka), based on a crystal structure in Alexandria, relaxed with GGA-PBE.
Neutral-atom scattering factors, no anomalous dispersion.

Top 8 peaks for 5° ≤ 2θ ≤ 70°, most intense first:
- 2θ = 40.7°, I = 100.0
- 2θ = 38.3°, I = 97.0
- 2θ = 34.9°, I = 95.4
- 2θ = 26.3°, I = 78.2
- 2θ = 30.5°, I = 74.0
- 2θ = 16.9°, I = 54.2
- 2θ = 54.5°, I = 46.6
- 2θ = 52.2°, I = 32.1

Cell and atoms:
a = 3.133 Å, b = 6.769 Å, c = 8.347 Å
α = 90.00°, β = 90.00°, γ = 90.00°
Space group Immm (No. 71)
Asymmetric unit:
Pm: 0.000 0.000 0.000 x2
V: 0.000 0.500 0.156 x4
B: 0.000 0.136 0.500 x4
B: 0.000 0.234 0.301 x8



Record 3
La5Dy2Tm5: calculated powder X-ray diffraction pattern (Cu Ka), based on a crystal structure in Alexandria, relaxed with GGA-PBE.
Neutral-atom scattering factors, no anomalous dispersion.

Top 8 peaks for 5° ≤ 2θ ≤ 70°, most intense first:
- 2θ = 30.4°, I = 100.0
- 2θ = 35.0°, I = 17.2
- 2θ = 35.3°, I = 16.8
- 2θ = 35.4°, I = 16.7
- 2θ = 60.3°, I = 14.2
- 2θ = 60.4°, I = 14.2
- 2θ = 63.2°, I = 12.4
- 2θ = 50.5°, I = 12.1

Cell and atoms:
a = 15.392 Å, b = 5.076 Å, c = 11.407 Å
α = 90.00°, β = 116.80°, γ = 90.00°
Space group C2/m (No. 12)
Asymmetric unit:
La: 0.000 0.000 0.000 x2
La: 0.080 0.000 0.749 x4
La: 0.248 0.000 0.252 x4
Dy: 0.167 0.000 0.499 x4
Tm: 0.000 0.500 0.500 x2
Tm: 0.085 0.500 0.254 x4
Tm: 0.167 0.500 0.000 x4



Record 4
Pm2PrDy2Ho: calculated powder X-ray diffraction pattern (Cu Ka), based on a crystal structure in Alexandria, relaxed with GGA-PBE.
Neutral-atom scattering factors, no anomalous dispersion.

Top 8 peaks for 5° ≤ 2θ ≤ 70°, most intense first:
- 2θ = 30.2°, I = 100.0
- 2θ = 28.6°, I = 56.3
- 2θ = 40.8°, I = 39.5
- 2θ = 33.6°, I = 35.5
- 2θ = 31.1°, I = 22.3
- 2θ = 35.8°, I = 19.7
- 2θ = 64.1°, I = 18.1
- 2θ = 53.6°, I = 17.2

Cell and atoms:
a = 6.665 Å, b = 17.786 Å, c = 3.415 Å
α = 90.00°, β = 90.00°, γ = 90.00°
Space group Pnnm (No. 58)
Asymmetric unit:
Pm: 0.225 0.151 0.000 x4
Pr: 0.000 0.500 0.500 x2
Dy: 0.231 0.320 0.500 x4
Ho: 0.000 0.000 0.500 x2



Record 5
BeSb: calculated powder X-ray diffraction pattern (Cu Ka), based on a crystal structure in Alexandria, relaxed with GGA-PBE.
Neutral-atom scattering factors, no anomalous dispersion.

Top 8 peaks for 5° ≤ 2θ ≤ 70°, most intense first:
- 2θ = 28.3°, I = 100.0
- 2θ = 43.9°, I = 61.9
- 2θ = 23.1°, I = 36.6
- 2θ = 61.2°, I = 31.3
- 2θ = 36.8°, I = 22.5
- 2θ = 58.6°, I = 11.3
- 2θ = 53.0°, I = 9.4
- 2θ = 66.4°, I = 7.9

Cell and atoms:
a = 3.454 Å, b = 3.454 Å, c = 7.710 Å
α = 90.00°, β = 90.00°, γ = 90.00°
Space group P4/nmm (No. 129, origin choice 2)
Asymmetric unit:
Be: 0.250 0.750 0.000 x2
Sb: 0.250 0.250 0.241 x2



Record 6
Pr6SnOs2: calculated powder X-ray diffraction pattern (Cu Ka), based on a crystal structure in Alexandria, relaxed with GGA-PBE.
Neutral-atom scattering factors, no anomalous dispersion.

Top 8 peaks for 5° ≤ 2θ ≤ 70°, most intense first:
- 2θ = 33.4°, I = 100.0
- 2θ = 30.4°, I = 80.2
- 2θ = 32.8°, I = 76.9
- 2θ = 32.1°, I = 56.7
- 2θ = 33.6°, I = 47.2
- 2θ = 12.6°, I = 43.0
- 2θ = 38.0°, I = 37.6
- 2θ = 36.4°, I = 36.6

Cell and atoms:
a = 9.882 Å, b = 10.025 Å, c = 10.735 Å
α = 90.00°, β = 90.00°, γ = 90.00°
Space group Immm (No. 71)
Asymmetric unit:
Pr: 0.000 0.205 0.240 x8
Pr: 0.185 0.500 0.171 x8
Pr: 0.219 0.315 0.500 x8
Sn: 0.000 0.000 0.000 x2
Sn: 0.000 0.000 0.500 x2
Os: 0.000 0.327 0.000 x4
Os: 0.000 0.500 0.384 x4